For NaPrFeH6, a structure optimized by DFT (PBE) gives the theoretical X-ray diffraction stick pattern in this record (Cu Kα X-rays).
Peak positions follow from Bragg's law for the DFT cell and can differ from measured ones.

Peak list (12 most intense, 10 to 90 degrees two-theta, in order of falling intensity)
| two_theta | I/Imax | h k l |
| --- | --- | --- |
| 30.2 | 100 | 0 1 1 |
| 37.6 | 49 | 1 1 0 |
| 21.4 | 44 | 1 0 0 |
| 48.3 | 28 | 1 0 2 |
| 48.9 | 28 | 2 0 1 |
| 63.3 | 23 | 1 2 1 |
| 21.0 | 22 | 0 0 1 |
| 43.4 | 20 | 1 1 1 |
| 75.5 | 15 | 2 1 2 |
| 62.7 | 13 | 0 2 2 |
| 88.0 | 10 | 3 1 1 |
| 67.8 | 8 | 3 0 0 |

Structure:
```
9
Lattice="4.789 0.000 0.000 -2.394 4.147 0.000 0.000 0.000 4.234" Properties=species:S:1:pos:R:3 pbc="T T T"
Na 0.000 0.000 0.000
Pr 0.000 2.765 2.093
Fe 2.394 1.382 3.252
H 1.273 0.735 2.322
H 2.394 0.030 4.168
H 1.223 2.059 4.168
H 3.516 0.735 2.322
H 2.394 2.678 2.322
H 3.566 2.059 4.168
```

=====

For NbFe2H8, a structure optimized by DFT (PBE) gives the theoretical X-ray diffraction stick pattern in this record (Cu Kα X-rays).
Peak positions follow from Bragg's law for the DFT cell and can differ from measured ones.

Peak list (12 most intense, 10 to 90 degrees two-theta, in order of falling intensity)
| two_theta | I/Imax | h k l |
| --- | --- | --- |
| 38.4 | 100 | 1 1 1 |
| 22.0 | 41 | 1 0 0 |
| 31.1 | 36 | 1 0 1 |
| 44.9 | 29 | 2 0 0 |
| 78.4 | 22 | 3 1 1 |
| 64.8 | 21 | 2 0 2 |
| 44.1 | 15 | 0 0 2 |
| 55.6 | 13 | 2 1 1 |
| 77.4 | 11 | 1 1 3 |
| 65.3 | 10 | 2 2 0 |
| 49.9 | 10 | 1 0 2 |
| 82.3 | 9 | 2 2 2 |

Structure:
```
11
Lattice="4.039 0.000 0.000 0.000 4.039 0.000 0.000 0.000 4.103" Properties=species:S:1:pos:R:3 pbc="T T T"
Nb 0.000 0.000 0.000
Fe 0.000 2.020 2.051
Fe 2.020 0.000 2.051
H 1.138 1.138 1.111
H 1.138 1.138 2.991
H 1.138 2.901 1.111
H 1.138 2.901 2.991
H 2.901 1.138 1.111
H 2.901 1.138 2.991
H 2.901 2.901 1.111
H 2.901 2.901 2.991
```

=====

For Nb3FeH, a structure optimized by DFT (PBE) gives the theoretical X-ray diffraction stick pattern in this record (Cu Kα X-rays).
Peak positions follow from Bragg's law for the DFT cell and can differ from measured ones.

Peak list (12 most intense, 10 to 90 degrees two-theta, in order of falling intensity)
| two_theta | I/Imax | h k l |
| --- | --- | --- |
| 38.0 | 100 | 1 1 1 |
| 44.1 | 49 | 2 0 0 |
| 77.1 | 35 | 3 1 1 |
| 64.2 | 31 | 2 2 0 |
| 81.2 | 10 | 2 2 2 |
| 21.7 | 4 | 1 0 0 |
| 30.8 | 3 | 1 1 0 |
| 49.7 | 2 | 2 1 0 |
| 54.8 | 1 | 2 1 1 |
| 68.6 | 1 | 3 0 0 |
| 89.3 | 1 | 3 2 1 |
| 72.9 | 1 | 3 1 0 |

Structure:
```
5
Lattice="4.104 0.000 0.000 0.000 4.104 0.000 0.000 0.000 4.104" Properties=species:S:1:pos:R:3 pbc="T T T"
Nb 0.000 0.000 2.052
Nb 0.000 2.052 0.000
Nb 2.052 0.000 0.000
Fe 2.052 2.052 2.052
H 0.000 0.000 0.000
```